1.
# Li3Ni3OF7
Calculated XRD peak list, Cu Kα X-rays. Input: a crystal structure in Alexandria, relaxed with PBE+U.

Top 12 peaks for 10° ≤ 2θ ≤ 90°, in order of rising 2θ:
| Position (°2θ) | d (Å) | I_rel |
| --- | --- | --- |
| 18.1 | 4.905 | 46 |
| 18.2 | 4.864 | 100 |
| 21.0 | 4.239 | 19 |
| 29.9 | 2.988 | 13 |
| 35.0 | 2.562 | 71 |
| 42.7 | 2.119 | 95 |
| 46.8 | 1.943 | 17 |
| 56.6 | 1.627 | 17 |
| 61.7 | 1.503 | 30 |
| 62.1 | 1.494 | 29 |
| 64.9 | 1.437 | 18 |
| 77.9 | 1.226 | 11 |

```
Li3Ni3OF7
1.0
3.007 1.736 4.864
-3.007 1.736 4.864
0.000 -3.472 4.864
Li Ni O F
3 3 1 7
Direct
0.000 0.000 0.000 Li
0.257 0.257 0.257 Li
0.623 0.623 0.623 Li
0.133 0.614 0.614 Ni
0.614 0.133 0.614 Ni
0.614 0.614 0.133 Ni
0.386 0.386 0.386 O
0.382 0.382 0.856 F
0.382 0.856 0.382 F
0.397 0.867 0.867 F
0.856 0.382 0.382 F
0.863 0.863 0.863 F
0.867 0.397 0.867 F
0.867 0.867 0.397 F
```



2.
# Li6NiOF6
Calculated XRD peak list, Cu Kα X-rays. Input: a crystal structure in Alexandria, relaxed with PBE+U.

Top 12 peaks for 10° ≤ 2θ ≤ 90°, in order of rising 2θ:
| Position (°2θ) | d (Å) | I_rel |
| --- | --- | --- |
| 17.1 | 5.177 | 37 |
| 22.7 | 3.920 | 44 |
| 25.8 | 3.454 | 46 |
| 30.4 | 2.944 | 17 |
| 31.1 | 2.874 | 16 |
| 38.7 | 2.324 | 24 |
| 41.7 | 2.166 | 19 |
| 43.1 | 2.097 | 100 |
| 45.5 | 1.995 | 52 |
| 46.3 | 1.961 | 18 |
| 62.8 | 1.479 | 16 |
| 64.4 | 1.446 | 49 |

```
Li6NiOF6
1.0
-1.487 1.996 10.353
1.487 -1.996 10.353
1.487 1.996 -10.353
Li Ni O F
6 1 1 6
Direct
0.067 0.067 0.000 Li
0.213 0.213 0.000 Li
0.351 0.351 0.000 Li
0.649 0.649 0.000 Li
0.787 0.787 0.000 Li
0.933 0.933 0.000 Li
0.500 0.500 0.000 Ni
0.000 0.500 0.500 O
0.146 0.646 0.500 F
0.285 0.785 0.500 F
0.426 0.926 0.500 F
0.574 0.074 0.500 F
0.715 0.215 0.500 F
0.854 0.354 0.500 F
```



3.
# Li8NiO4F2
Calculated XRD peak list, Cu Kα X-rays. Input: a crystal structure in Alexandria, relaxed with PBE+U.

Top 12 peaks for 10° ≤ 2θ ≤ 90°, in order of rising 2θ:
| Position (°2θ) | d (Å) | I_rel |
| --- | --- | --- |
| 17.0 | 5.210 | 51 |
| 18.1 | 4.894 | 70 |
| 19.7 | 4.502 | 48 |
| 20.5 | 4.332 | 80 |
| 22.1 | 4.031 | 45 |
| 22.8 | 3.894 | 31 |
| 27.6 | 3.233 | 37 |
| 33.2 | 2.697 | 100 |
| 38.2 | 2.358 | 48 |
| 39.1 | 2.301 | 46 |
| 49.7 | 1.834 | 29 |
| 50.7 | 1.802 | 26 |

```
Li8NiO4F2
1.0
5.316 0.000 0.000
-2.184 5.014 0.000
-2.454 -1.161 5.210
Li Ni O F
8 1 4 2
Direct
0.082 0.204 0.133 Li
0.202 0.455 0.815 Li
0.376 0.747 0.530 Li
0.417 0.876 0.130 Li
0.583 0.124 0.870 Li
0.624 0.253 0.470 Li
0.798 0.545 0.185 Li
0.918 0.796 0.867 Li
0.000 0.000 0.500 Ni
0.153 0.908 0.266 O
0.200 0.793 0.752 O
0.800 0.207 0.248 O
0.847 0.092 0.734 O
0.443 0.539 0.219 F
0.557 0.461 0.781 F
```



4.
# Li8NiO5F
Calculated XRD peak list, Cu Kα X-rays. Input: a crystal structure in Alexandria, relaxed with PBE+U.

Top 12 peaks for 10° ≤ 2θ ≤ 90°, in order of rising 2θ:
| Position (°2θ) | d (Å) | I_rel |
| --- | --- | --- |
| 17.4 | 5.091 | 89 |
| 18.9 | 4.696 | 77 |
| 19.7 | 4.501 | 80 |
| 20.3 | 4.366 | 73 |
| 21.1 | 4.203 | 74 |
| 22.3 | 3.994 | 63 |
| 22.9 | 3.879 | 52 |
| 34.9 | 2.570 | 100 |
| 38.3 | 2.350 | 79 |
| 38.9 | 2.317 | 59 |
| 50.0 | 1.826 | 37 |
| 50.7 | 1.799 | 39 |

```
Li8NiO5F
1.0
5.347 0.000 0.000
-2.323 4.855 0.000
-2.535 -1.337 5.091
Li Ni O F
8 1 5 1
Direct
0.000 0.000 0.000 Li
0.034 0.158 0.637 Li
0.170 0.429 0.348 Li
0.405 0.870 0.646 Li
0.520 0.107 0.342 Li
0.589 0.318 0.960 Li
0.681 0.528 0.627 Li
0.849 0.731 0.330 Li
0.218 0.596 0.956 Ni
0.096 0.850 0.739 O
0.141 0.739 0.221 O
0.393 0.528 0.738 O
0.434 0.404 0.215 O
0.783 0.232 0.750 O
0.809 0.067 0.255 F
```



5.
# Li2NiOF2
Calculated XRD peak list, Cu Kα X-rays. Input: a crystal structure in Alexandria, relaxed with PBE+U.

Top 12 peaks for 10° ≤ 2θ ≤ 90°, in order of rising 2θ:
| Position (°2θ) | d (Å) | I_rel |
| --- | --- | --- |
| 14.3 | 6.208 | 42 |
| 31.3 | 2.858 | 31 |
| 33.8 | 2.655 | 69 |
| 36.2 | 2.483 | 17 |
| 42.4 | 2.133 | 46 |
| 43.6 | 2.077 | 100 |
| 43.7 | 2.069 | 48 |
| 44.2 | 2.049 | 26 |
| 57.9 | 1.593 | 15 |
| 63.3 | 1.469 | 28 |
| 63.5 | 1.466 | 54 |
| 80.1 | 1.198 | 24 |

```
Li2NiOF2
1.0
2.937 0.000 0.000
0.000 2.937 0.000
0.000 0.000 12.415
Li Ni O F
4 2 2 4
Direct
0.250 0.250 0.080 Li
0.250 0.250 0.754 Li
0.750 0.750 0.246 Li
0.750 0.750 0.920 Li
0.250 0.250 0.417 Ni
0.750 0.750 0.583 Ni
0.250 0.250 0.587 O
0.750 0.750 0.413 O
0.250 0.250 0.241 F
0.250 0.250 0.919 F
0.750 0.750 0.081 F
0.750 0.750 0.759 F
```



6.
# Li3Ni5OF11
Calculated XRD peak list, Cu Kα X-rays. Input: a crystal structure in Alexandria, relaxed with PBE+U.

Top 12 peaks for 10° ≤ 2θ ≤ 90°, in order of rising 2θ:
| Position (°2θ) | d (Å) | I_rel |
| --- | --- | --- |
| 10.4 | 8.499 | 19 |
| 23.5 | 3.781 | 100 |
| 24.0 | 3.704 | 47 |
| 32.3 | 2.768 | 30 |
| 32.7 | 2.742 | 30 |
| 32.8 | 2.733 | 31 |
| 34.7 | 2.588 | 22 |
| 35.0 | 2.563 | 35 |
| 39.8 | 2.262 | 26 |
| 48.1 | 1.890 | 27 |
| 52.7 | 1.738 | 37 |
| 62.4 | 1.488 | 17 |

```
Li3Ni5OF11
1.0
5.122 0.000 0.000
2.487 4.898 0.000
0.088 2.784 8.499
Li Ni O F
3 5 1 11
Direct
0.000 0.000 0.000 Li
0.223 0.533 0.733 Li
0.759 0.489 0.242 Li
0.065 0.862 0.352 Ni
0.304 0.389 0.094 Ni
0.543 0.955 0.503 Ni
0.560 0.892 0.853 Ni
0.840 0.379 0.598 Ni
0.962 0.679 0.544 O
0.005 0.667 0.899 F
0.018 0.666 0.201 F
0.085 0.158 0.152 F
0.092 0.158 0.457 F
0.118 0.158 0.802 F
0.482 0.663 0.048 F
0.515 0.659 0.396 F
0.517 0.673 0.711 F
0.571 0.166 0.961 F
0.589 0.168 0.649 F
0.605 0.178 0.293 F
```



7.
# LiNi4O4F
Calculated XRD peak list, Cu Kα X-rays. Input: a crystal structure in Alexandria, relaxed with PBE+U.

Top 12 peaks for 10° ≤ 2θ ≤ 90°, in order of rising 2θ:
| Position (°2θ) | d (Å) | I_rel |
| --- | --- | --- |
| 16.7 | 5.304 | 18 |
| 30.4 | 2.939 | 17 |
| 32.7 | 2.736 | 13 |
| 37.0 | 2.432 | 85 |
| 42.6 | 2.121 | 60 |
| 43.1 | 2.098 | 100 |
| 49.4 | 1.846 | 6 |
| 62.2 | 1.492 | 58 |
| 62.6 | 1.484 | 29 |
| 74.3 | 1.277 | 11 |
| 75.0 | 1.267 | 23 |
| 78.7 | 1.216 | 29 |

```
LiNi4O4F
1.0
-1.484 1.484 10.607
1.484 -1.484 10.607
1.484 1.484 -10.607
Li Ni O F
1 4 4 1
Direct
0.000 0.000 0.000 Li
0.199 0.199 0.000 Ni
0.399 0.399 0.000 Ni
0.601 0.601 0.000 Ni
0.801 0.801 0.000 Ni
0.099 0.099 0.000 O
0.300 0.300 0.000 O
0.700 0.700 0.000 O
0.901 0.901 0.000 O
0.500 0.500 0.000 F
```



8.
# Li4Ni3O6F
Calculated XRD peak list, Cu Kα X-rays. Input: a crystal structure in Alexandria, relaxed with PBE+U.

Top 12 peaks for 10° ≤ 2θ ≤ 90°, in order of rising 2θ:
| Position (°2θ) | d (Å) | I_rel |
| --- | --- | --- |
| 14.0 | 6.336 | 22 |
| 22.6 | 3.940 | 63 |
| 23.6 | 3.766 | 100 |
| 28.2 | 3.169 | 45 |
| 38.0 | 2.367 | 29 |
| 43.6 | 2.075 | 48 |
| 43.8 | 2.066 | 50 |
| 45.1 | 2.011 | 45 |
| 63.5 | 1.464 | 27 |
| 64.5 | 1.444 | 25 |
| 64.7 | 1.441 | 26 |
| 81.3 | 1.184 | 24 |

```
Li4Ni3O6F
1.0
4.610 -2.066 0.000
4.610 2.066 0.000
-0.761 0.000 6.336
Li Ni O F
4 3 6 1
Direct
0.083 0.083 0.217 Li
0.219 0.219 0.641 Li
0.781 0.781 0.359 Li
0.917 0.917 0.783 Li
0.358 0.358 0.072 Ni
0.500 0.500 0.500 Ni
0.642 0.642 0.928 Ni
0.162 0.162 0.940 O
0.299 0.299 0.349 O
0.444 0.444 0.802 O
0.556 0.556 0.198 O
0.701 0.701 0.651 O
0.838 0.838 0.060 O
0.000 0.000 0.500 F
```